# 1
Computed XRD peak list
Compound: Al2FeO4
Radiation: CuKα
Structure: DFT lattice parameters and positions (PBE+U)
Lines closer than 0.1° are merged.

Structural model:
```
data_Al2FeO4
_cell_length_a 5.8251
_cell_length_b 5.8251
_cell_length_c 14.3170
_cell_angle_alpha 90.00
_cell_angle_beta 90.00
_cell_angle_gamma 120.00
_space_group_name_H-M_alt 'P 3 m 1'
_space_group_IT_number 156
loop_
_space_group_symop_operation_xyz
'x,y,z'
'-y,x-y,z'
'-x+y,-x,z'
'-y,-x,z'
'-x+y,y,z'
'x,x-y,z'
loop_
_atom_site_label
_atom_site_fract_x
_atom_site_fract_y
_atom_site_fract_z
_atom_site_occupancy
Al1 0.0000 0.0000 0.0000 1
Al2 0.0000 0.0000 0.3782 1
Al3 0.0058 0.5029 0.8762 1
Al4 0.1690 0.3380 0.5434 1
Al5 0.3333 0.6667 0.7093 1
Al6 0.3400 0.1700 0.2130 1
Fe1 0.0000 0.0000 0.7526 1
Fe2 0.3333 0.6667 0.0880 1
Fe3 0.3333 0.6667 0.3323 1
Fe4 0.6667 0.3333 0.0469 1
Fe5 0.6667 0.3333 0.4213 1
Fe6 0.6667 0.3333 0.6704 1
O1 0.0000 0.0000 0.1287 1
O2 0.0000 0.0000 0.6127 1
O3 0.0446 0.5223 0.6220 1
O4 0.1427 0.2855 0.2900 1
O5 0.1880 0.3760 0.7981 1
O6 0.2916 0.1458 0.4676 1
O7 0.3333 0.6667 0.4759 1
O8 0.3333 0.6667 0.9459 1
O9 0.3351 0.1676 0.9506 1
O10 0.5107 0.0213 0.1456 1
O11 0.6667 0.3333 0.2830 1
O12 0.6667 0.3333 0.8151 1
```

Most intense lines, 10 to 80 degrees two-theta, sorted by position:
30.67 deg, I 58.1, hkl 1 1 0; 36.12 deg, I 100.0, hkl 1 1 3; 43.91 deg, I 13.3, hkl 2 0 4; 54.55 deg, I 12.4, hkl 3 0 0; 58.05 deg, I 9.1, hkl 2 0 7; 58.14 deg, I 32.9, hkl 3 0 3; 63.77 deg, I 24.9, hkl 0 2 8; 63.93 deg, I 25.8, hkl 2 2 0


# 2
Computed XRD peak list
Compound: LiZn2Fe4O8
Radiation: CuKα
Structure: DFT lattice parameters and positions (PBE+U)
Lines closer than 0.1° are merged.

Structural model:
```
data_LiZn2Fe4O8
_cell_length_a 6.2351
_cell_length_b 6.2983
_cell_length_c 8.5527
_cell_angle_alpha 90.00
_cell_angle_beta 90.00
_cell_angle_gamma 90.00
_space_group_name_H-M_alt 'I m m 2'
_space_group_IT_number 44
loop_
_space_group_symop_operation_xyz
'x,y,z'
'-x,-y,z'
'-x,y,z'
'x,-y,z'
'x+1/2,y+1/2,z+1/2'
'-x+1/2,-y+1/2,z+1/2'
'-x+1/2,y+1/2,z+1/2'
'x+1/2,-y+1/2,z+1/2'
loop_
_atom_site_label
_atom_site_fract_x
_atom_site_fract_y
_atom_site_fract_z
_atom_site_occupancy
Li1 0.0000 0.0000 0.0000 1
Zn1 0.0000 0.2785 0.8726 1
Fe1 0.0000 0.0000 0.4944 1
Fe2 0.0000 0.5000 0.2509 1
Fe3 0.2126 0.5000 0.6319 1
O1 0.0000 0.2386 0.1211 1
O2 0.0000 0.2515 0.6274 1
O3 0.2442 0.5000 0.8666 1
O4 0.2486 0.0000 0.8893 1
```

Most intense lines, 10 to 80 degrees two-theta, sorted by position:
17.60 deg, I 25.1, hkl 1 0 1; 29.02 deg, I 51.7, hkl 1 1 2; 33.56 deg, I 100.0, hkl 1 2 1; 33.75 deg, I 73.8, hkl 2 1 1; 34.57 deg, I 81.0, hkl 1 0 3; 40.73 deg, I 37.0, hkl 2 2 0; 53.93 deg, I 29.7, hkl 3 2 1; 60.14 deg, I 79.3, hkl 2 2 4


# 3
Computed XRD peak list
Compound: Ba3Nd3Co6O17
Radiation: CuKα
Structure: DFT lattice parameters and positions (PBE+U)
Lines closer than 0.1° are merged.

Structural model:
```
data_Ba3Nd3Co6O17
_cell_length_a 8.6502
_cell_length_b 8.8737
_cell_length_c 11.0427
_cell_angle_alpha 108.67
_cell_angle_beta 107.15
_cell_angle_gamma 101.59
_space_group_name_H-M_alt 'P -1'
_space_group_IT_number 2
loop_
_space_group_symop_operation_xyz
'x,y,z'
'-x,-y,-z'
loop_
_atom_site_label
_atom_site_fract_x
_atom_site_fract_y
_atom_site_fract_z
_atom_site_occupancy
Ba1 0.0812 0.2510 0.0827 1
Ba2 0.2475 0.7503 0.2470 1
Ba3 0.4146 0.2473 0.4140 1
Nd1 0.0902 0.2722 0.5894 1
Nd2 0.2530 0.7428 0.7544 1
Nd3 0.4248 0.2585 0.9279 1
Co1 0.0042 0.0012 0.7455 1
Co2 0.1645 0.4993 0.4169 1
Co3 0.1686 0.4974 0.9149 1
Co4 0.3284 0.0007 0.5828 1
Co5 0.3368 0.9984 0.0810 1
Co6 0.4980 0.4984 0.2490 1
O1 0.0000 0.5000 0.0000 1
O2 0.0000 0.5000 0.5000 1
O3 0.0126 0.4965 0.7423 1
O4 0.0505 0.2347 0.3418 1
O5 0.1084 0.2397 0.8157 1
O6 0.1245 0.9992 0.4315 1
O7 0.1817 0.9993 0.1601 1
O8 0.1887 0.0003 0.8913 1
O9 0.2265 0.7742 0.5219 1
O10 0.2686 0.7498 0.9896 1
O11 0.3200 0.5000 0.5878 1
O12 0.3361 0.5020 0.8307 1
O13 0.3399 0.5066 0.3326 1
O14 0.3467 0.5010 0.0749 1
O15 0.3791 0.2291 0.6723 1
O16 0.4335 0.2487 0.1559 1
O17 0.4603 0.0007 0.7613 1
O18 0.5000 0.0000 0.0000 1
O19 0.5000 0.0000 0.5000 1
```

Most intense lines, 10 to 80 degrees two-theta, sorted by position:
31.95 deg, I 97.0, hkl 1 1 2; 32.37 deg, I 100.0, hkl 2 2 -2; 32.47 deg, I 99.8, hkl 3 -1 0; 39.77 deg, I 33.2, hkl 3 1 0; 45.66 deg, I 31.1, hkl 0 4 0; 45.95 deg, I 31.6, hkl 2 -2 4; 47.20 deg, I 26.2, hkl 4 0 -4; 57.30 deg, I 28.4, hkl 4 0 2


# 4
Computed XRD peak list
Compound: KEuSbWO6
Radiation: CuKα
Structure: DFT lattice parameters and positions (PBE+U)
Lines closer than 0.1° are merged.

Structural model:
```
data_KEuSbWO6
_cell_length_a 8.4043
_cell_length_b 8.4179
_cell_length_c 8.4409
_cell_angle_alpha 90.00
_cell_angle_beta 90.00
_cell_angle_gamma 90.00
_space_group_name_H-M_alt 'P n n n'
_space_group_IT_number 48
loop_
_space_group_symop_operation_xyz
'x,y,z'
'-x,-y,-z'
'-x+1/2,-y+1/2,z'
'x+1/2,y+1/2,-z'
'x,-y+1/2,-z+1/2'
'-x,y+1/2,z+1/2'
'-x+1/2,y,-z+1/2'
'x+1/2,-y,z+1/2'
loop_
_atom_site_label
_atom_site_fract_x
_atom_site_fract_y
_atom_site_fract_z
_atom_site_occupancy
K1 0.2500 0.2500 0.2500 1
K2 0.2500 0.7500 0.7500 1
Eu1 0.2500 0.2500 0.7500 1
Eu2 0.2500 0.7500 0.2500 1
Sb1 0.0000 0.0000 0.0000 1
W1 0.0000 0.0000 0.5000 1
O1 0.0133 0.0246 0.7321 1
O2 0.0142 0.7318 0.9955 1
O3 0.2317 0.0121 0.4870 1
```

Most intense lines, 10 to 80 degrees two-theta, sorted by position:
14.86 deg, I 10.4, hkl 0 1 1; 21.10 deg, I 11.6, hkl 0 0 2; 30.01 deg, I 100.0, hkl 2 0 2; 42.86 deg, I 10.0, hkl 0 0 4; 43.01 deg, I 19.5, hkl 4 0 0; 53.27 deg, I 27.1, hkl 2 4 2; 53.35 deg, I 13.5, hkl 4 2 2; 62.34 deg, I 12.1, hkl 4 0 4


# 5
Computed XRD peak list
Compound: CsMg14FeO16
Radiation: CuKα
Structure: DFT lattice parameters and positions (PBE+U)
Lines closer than 0.1° are merged.

Structural model:
```
data_CsMg14FeO16
_cell_length_a 8.8549
_cell_length_b 8.8549
_cell_length_c 4.3692
_cell_angle_alpha 90.00
_cell_angle_beta 90.00
_cell_angle_gamma 90.00
_space_group_name_H-M_alt 'P 4/m m m'
_space_group_IT_number 123
_space_group_name_Hall '-P 4 2'
loop_
_atom_site_label
_atom_site_fract_x
_atom_site_fract_y
_atom_site_fract_z
_atom_site_occupancy
Cs1 0.0000 0.0000 0.0000 1
Mg1 0.0000 0.2676 0.5000 1
Mg2 0.0000 0.5000 0.0000 1
Mg3 0.2516 0.5000 0.5000 1
Mg4 0.2544 0.2544 0.0000 1
Fe1 0.5000 0.5000 0.0000 1
O1 0.0000 0.0000 0.5000 1
O2 0.0000 0.2860 0.0000 1
O3 0.0000 0.5000 0.5000 1
O4 0.2505 0.2505 0.5000 1
O5 0.2587 0.5000 0.0000 1
O6 0.5000 0.5000 0.5000 1
```

Most intense lines, 10 to 80 degrees two-theta, sorted by position:
14.14 deg, I 28.9, hkl 1 1 0; 24.85 deg, I 22.6, hkl 1 1 1; 35.27 deg, I 40.3, hkl 2 2 1; 40.76 deg, I 100.0, hkl 4 0 0; 41.33 deg, I 50.2, hkl 0 0 2; 59.01 deg, I 28.2, hkl 4 4 0; 59.44 deg, I 57.4, hkl 4 0 2; 74.58 deg, I 25.6, hkl 4 4 2


# 6
Computed XRD peak list
Compound: KAl2NiP3O14
Radiation: CuKα
Structure: DFT lattice parameters and positions (PBE+U)
Lines closer than 0.1° are merged.

Structural model:
```
data_KAl2NiP3O14
_cell_length_a 12.9944
_cell_length_b 10.4620
_cell_length_c 8.8144
_cell_angle_alpha 90.00
_cell_angle_beta 109.48
_cell_angle_gamma 90.00
_space_group_name_H-M_alt 'C 1 2/c 1'
_space_group_IT_number 15
loop_
_space_group_symop_operation_xyz
'x,y,z'
'-x,-y,-z'
'-x,y,-z+1/2'
'x,-y,z+1/2'
'x+1/2,y+1/2,z'
'-x+1/2,-y+1/2,-z'
'-x+1/2,y+1/2,-z+1/2'
'x+1/2,-y+1/2,z+1/2'
loop_
_atom_site_label
_atom_site_fract_x
_atom_site_fract_y
_atom_site_fract_z
_atom_site_occupancy
K1 0.0000 0.1284 0.2500 1
Al1 0.1760 0.4228 0.5788 1
Ni1 0.0000 0.2358 0.7500 1
P1 0.0000 0.4988 0.2500 1
P2 0.2059 0.1296 0.6681 1
O1 0.0633 0.4107 0.3902 1
O2 0.0744 0.4055 0.6983 1
O3 0.0787 0.2098 0.9714 1
O4 0.0872 0.1049 0.6682 1
O5 0.2141 0.4244 0.1733 1
O6 0.2177 0.0606 0.5203 1
O7 0.2324 0.2730 0.6650 1
```

Most intense lines, 10 to 80 degrees two-theta, sorted by position:
17.02 deg, I 100.0, hkl 1 1 1; 21.39 deg, I 32.8, hkl 0 0 2; 26.58 deg, I 21.2, hkl 1 3 0; 27.76 deg, I 30.6, hkl 1 3 -1; 29.16 deg, I 20.6, hkl 4 0 0; 29.74 deg, I 29.3, hkl 2 0 2; 29.92 deg, I 49.9, hkl 4 0 -2; 33.16 deg, I 27.1, hkl 3 3 -1